The following is a calculated X-ray diffraction stick pattern of Eu2Si3Ni. It was derived from DFT lattice parameters and positions (PBE), using Cu Kα X-rays.
Intensities are scaled so that the largest is 100.

Atomic structure:
```
data_Eu2Si3Ni
_chemical_formula_sum 'Eu2 Si3 Ni1'
_cell_length_a 4.0337
_cell_length_b 4.0337
_cell_length_c 8.7472
_cell_angle_alpha 90.00
_cell_angle_beta 90.00
_cell_angle_gamma 120.00
_space_group_name_H-M_alt 'P 1'
_space_group_IT_number 1
loop_
_space_group_symop_operation_xyz
'x,y,z'
loop_
_atom_site_label
_atom_site_fract_x
_atom_site_fract_y
_atom_site_fract_z
_atom_site_occupancy
Eu1 0.0000 0.0000 0.2415 1
Eu2 0.0000 0.0000 0.7585 1
Si1 0.3333 0.6667 0.5000 1
Si2 0.6667 0.3333 0.0000 1
Si3 0.6667 0.3333 0.5000 1
Ni1 0.3333 0.6667 0.0000 1
```

Most intense lines, 2θ = 10–80°, sorted by position:
2θ/deg	d/Å	Rel. int.	h k l
20.3	4.374	8	0 0 2
25.5	3.493	34	1 0 0
32.8	2.729	100	1 0 2
41.3	2.187	12	0 0 4
44.9	2.017	30	1 1 0
49.2	1.854	11	1 0 4
56.8	1.622	20	2 0 2
62.7	1.483	21	1 1 4
69.9	1.345	10	1 0 6
75.2	1.264	18	2 1 2